Structure and simulated powder diffractogram of Tb6Sm5 (DFT lattice parameters and positions (GGA-PBE); Cu Kα (weighted mean of Kα1 and Kα2)).

The 10 most intense peaks (2θ from 10° to 90°), by angle:
two_theta	I (rel.)
28.72	53
30.19	79
30.89	70
31.56	57
34.64	100
36.28	26
51.52	15
56.42	18
58.52	27
64.89	16

Structural model:
Cell lengths 8.0082, 8.0082, 6.4132 Å; angles 100.01, 100.01, 110.37 degrees
Atoms (fractional coordinates):
Tb 0.0467 0.3083 0.6716
Tb 0.1652 0.1652 0.1877
Tb 0.3083 0.0467 0.6716
Tb 0.6917 0.9533 0.3284
Tb 0.8348 0.8348 0.8123
Tb 0.9533 0.6917 0.3284
Sm 0.2398 0.7602 0.0000
Sm 0.3710 0.6290 0.5000
Sm 0.5000 0.5000 0.0000
Sm 0.6290 0.3710 0.5000
Sm 0.7602 0.2398 0.0000